Structure and theoretical X-ray powder pattern of Li3Mn3P4O16 (the PBE+U geometry in the Materials Project; Cu Ka).
Neutral-atom scattering factors, no anomalous dispersion.

```
Li3Mn3P4O16
1.0
8.7114 0.0000 0.0000
-3.1638 8.3977 0.0000
-2.9641 -3.8223 8.6780
Li Mn P O
6 6 8 32
direct
0.0425 0.4798 0.2849
0.2752 0.3366 0.7879
0.3521 0.3798 0.3355
0.6479 0.6202 0.6645
0.7248 0.6634 0.2121
0.9575 0.5202 0.7151
0.1648 0.9149 0.3518
0.1940 0.9292 0.9213
0.4833 0.0434 0.7620
0.5167 0.9566 0.2380
0.8060 0.0708 0.0787
0.8352 0.0851 0.6482
0.0097 0.1894 0.4175
0.0719 0.2477 0.9833
0.4106 0.7321 0.8961
0.4469 0.7704 0.4557
0.5531 0.2296 0.5443
0.5894 0.2679 0.1039
0.9281 0.7523 0.0167
0.9903 0.8106 0.5825
0.0156 0.1668 0.5688
0.0768 0.3750 0.4362
0.0886 0.3294 0.8667
0.1338 0.1192 0.3641
0.1391 0.3612 0.1526
0.1422 0.8748 0.0874
0.1668 0.1309 0.9763
0.1897 0.9340 0.7162
0.2170 0.7169 0.8570
0.2490 0.7470 0.3902
0.4105 0.5712 0.8040
0.4340 0.0621 0.3843
0.4499 0.6153 0.4827
0.4557 0.1844 0.6480
0.4762 0.0966 0.1221
0.4962 0.2235 0.9277
0.5038 0.7765 0.0723
0.5238 0.9034 0.8779
0.5443 0.8156 0.3520
0.5501 0.3847 0.5173
0.5659 0.9379 0.6157
0.5895 0.4288 0.1960
0.7510 0.2530 0.6098
0.7830 0.2831 0.1430
0.8103 0.0660 0.2838
0.8332 0.8691 0.0237
0.8578 0.1252 0.9126
0.8609 0.6388 0.8474
0.8662 0.8808 0.6359
0.9114 0.6706 0.1333
0.9232 0.6250 0.5638
0.9844 0.8332 0.4312
```

Peak list (10 most intense, 10° ≤ 2θ ≤ 90°, sorted by position)
2θ (°)	I (rel.)	(hkl)
11.5	100	0 1 0
12.2	8	1 -1 0
18.8	7	1 0 -2
20.5	12	1 -2 0
24.2	8	2 0 0
24.5	20	2 -2 0
28.0	38	2 1 -2
35.4	8	1 1 2
36.2	7	1 1 -4
36.6	9	3 0 0